Record 1
Computed PXRD pattern of Fe10O11F9 for Cu Kα, from a crystal structure in the Materials Project, relaxed with GGA+U.
Peak positions follow from Bragg's law for the DFT cell and can differ from measured ones.

Main lines, sorted by position (2θ from 10° to 90°):
2θ (°)  I_rel
26.67  100
26.91  98
34.66  80
34.76  27
39.81  18
52.34  30
52.55  30
52.70  42
54.94  17
59.75  18
66.72  26
66.84  20

Crystal structure
```
Fe10O11F9
1.0
4.702 0.000 0.000
0.042 4.710 0.000
0.058 0.033 15.476
Fe O F
10 11 9
Cartesian
0.000 0.000 0.000
0.034 0.295 6.152
2.350 2.238 4.538
2.384 2.268 7.683
2.461 2.410 13.956
2.527 2.394 10.799
2.551 2.517 1.386
4.596 0.189 3.050
4.660 0.221 12.150
4.708 0.222 9.289
0.862 0.999 4.549
0.897 1.014 7.713
0.993 1.084 10.776
1.551 3.398 15.383
3.222 1.511 6.115
3.258 1.576 2.980
3.299 1.595 12.387
3.294 1.559 9.231
3.411 1.521 15.376
3.847 3.908 10.749
3.884 3.937 1.511
0.958 1.002 13.851
0.976 1.046 1.482
1.410 3.374 6.126
1.476 3.428 12.387
1.441 3.406 3.034
1.485 3.397 9.201
3.754 3.865 4.598
3.799 3.870 7.665
3.897 3.924 13.822
```

=====

Record 2
Computed PXRD pattern of Fe5O2F8 for Cu Kα, from a crystal structure in the Materials Project, relaxed with GGA+U.
Peak positions follow from Bragg's law for the DFT cell and can differ from measured ones.

Main lines, sorted by position (2θ from 10° to 90°):
2θ (°)  I_rel
26.14  100
33.55  29
33.72  28
38.52  11
50.95  24
51.06  15
51.31  16
53.73  11
53.84  8
57.65  10
64.79  11
65.11  11

Crystal structure
```
Fe5O2F8
1.0
4.821 0.000 0.000
-0.019 8.033 0.000
-0.032 -3.275 9.594
Fe O F
10 4 16
Cartesian
0.000 0.000 0.000
-0.031 2.223 7.748
0.076 2.379 1.973
0.075 -0.316 5.949
0.281 5.041 3.904
2.474 5.215 1.162
2.488 -0.376 2.989
2.596 -0.688 8.868
2.601 4.794 6.875
2.635 2.241 4.974
1.571 5.830 2.903
4.030 1.649 0.274
4.000 3.918 8.009
4.054 1.361 6.155
1.027 5.773 5.732
1.045 2.791 9.433
1.073 3.153 3.862
1.077 0.248 7.625
1.125 0.479 1.721
1.522 -2.518 8.535
1.545 0.348 4.801
1.533 2.945 6.663
1.565 3.337 0.948
3.505 1.496 3.212
3.516 -1.291 6.956
3.534 1.262 8.999
3.564 4.210 5.032
3.621 7.010 1.294
4.020 4.328 2.345
4.076 -1.152 4.265
```

=====

Record 3
Computed PXRD pattern of Fe5O3F7 for Cu Kα, from a crystal structure in the Materials Project, relaxed with GGA+U.
Peak positions follow from Bragg's law for the DFT cell and can differ from measured ones.

Main lines, sorted by position (2θ from 10° to 90°):
2θ (°)  I_rel
26.11  100
26.73  93
34.22  53
34.35  51
39.07  18
51.49  47
52.10  26
52.37  27
53.71  18
55.08  16
59.08  18
65.79  25

Crystal structure
```
Fe5O3F7
1.0
4.767 0.000 0.000
-0.111 4.775 0.000
-0.077 -0.044 15.636
Fe O F
10 6 14
Cartesian
0.000 0.000 0.000
-0.045 0.219 9.385
0.008 0.158 12.590
0.083 0.239 3.042
2.054 2.613 1.684
2.043 2.538 13.981
2.090 2.364 10.906
2.187 2.509 7.804
2.218 2.490 4.729
4.360 4.737 6.251
0.603 4.008 14.114
0.730 4.022 1.561
1.271 1.554 12.428
1.340 1.633 3.095
1.336 1.636 9.366
3.009 3.341 6.326
0.718 3.979 4.564
0.720 3.908 7.871
0.743 3.953 11.026
1.177 1.463 6.330
1.279 1.608 0.095
3.097 3.455 0.068
3.148 3.480 9.442
3.151 3.516 12.380
3.197 3.553 3.025
3.616 1.073 7.865
3.702 1.116 1.507
3.650 1.032 14.146
3.727 1.031 4.522
3.694 1.073 11.048
```

=====

Record 4
Computed PXRD pattern of Fe4O7F for Cu Kα, from a crystal structure in the Materials Project, relaxed with GGA+U.
Peak positions follow from Bragg's law for the DFT cell and can differ from measured ones.

Main lines, sorted by position (2θ from 10° to 90°):
2θ (°)  I_rel
26.66  100
27.65  97
35.63  51
35.85  50
38.79  21
52.96  29
53.44  29
54.23  28
54.39  28
57.09  16
68.03  20
68.45  20

Crystal structure
```
Fe4O7F
1.0
4.646 0.000 0.000
-0.120 7.546 0.000
-0.210 -1.872 7.355
Fe O F
8 14 2
Cartesian
0.000 0.000 0.000
-0.165 2.837 3.677
-0.102 0.475 5.413
2.135 2.666 0.991
2.070 5.437 4.627
2.246 0.237 2.727
2.180 3.008 6.364
4.417 5.200 1.942
0.712 3.486 2.116
0.705 -1.232 5.744
0.770 1.176 3.813
1.378 0.878 1.099
1.231 6.071 2.975
1.199 1.350 6.643
1.219 3.708 4.847
3.096 1.966 2.508
3.117 4.324 0.712
3.084 -0.396 4.380
2.938 4.796 6.256
3.545 4.499 3.542
3.610 6.906 1.611
3.603 2.189 5.239
0.829 5.767 0.211
3.486 -0.092 7.144
```

=====

Record 5
Computed PXRD pattern of Fe4OF7 for Cu Kα, from a crystal structure in the Materials Project, relaxed with GGA+U.
Peak positions follow from Bragg's law for the DFT cell and can differ from measured ones.

Main lines, sorted by position (2θ from 10° to 90°):
2θ (°)  I_rel
25.92  93
26.67  90
33.74  100
37.53  13
38.49  19
39.02  18
50.92  62
51.77  54
53.30  20
54.95  15
57.77  18
65.32  41

Crystal structure
```
Fe4OF7
1.0
7.204 -3.438 0.000
7.204 3.438 0.000
-3.098 0.000 5.923
Fe O F
8 2 14
Cartesian
0.000 0.000 0.000
-0.265 0.000 3.855
2.739 0.000 1.375
2.669 0.000 5.155
5.655 0.000 2.962
8.641 0.000 0.768
8.571 0.000 4.548
11.575 0.000 2.068
-1.232 0.000 5.591
12.542 0.000 0.333
1.281 1.384 4.419
0.701 0.000 1.974
5.655 2.027 2.962
7.204 1.340 0.000
3.543 0.000 3.323
4.774 0.000 1.001
1.281 -1.384 4.419
10.029 1.384 1.504
6.537 0.000 4.922
7.768 0.000 2.600
7.204 -1.340 0.000
5.655 -2.027 2.962
10.609 0.000 3.949
10.029 -1.384 1.504
```

=====

Record 6
Computed PXRD pattern of Fe2O3F for Cu Kα, from a crystal structure in the Materials Project, relaxed with GGA+U.
Peak positions follow from Bragg's law for the DFT cell and can differ from measured ones.

Main lines, sorted by position (2θ from 10° to 90°):
2θ (°)  I_rel
26.28  97
27.20  95
35.41  100
40.08  15
40.71  13
52.46  25
52.60  29
53.49  23
53.64  28
61.71  20
67.03  15
67.41  24

Crystal structure
```
Fe2O3F
1.0
4.732 0.000 0.000
0.000 3.007 0.000
-0.633 0.000 18.798
Fe O F
8 12 4
Cartesian
0.000 0.000 0.000
-0.344 0.000 14.097
0.012 0.000 9.439
2.048 1.503 6.942
2.369 1.503 2.153
2.044 1.503 16.295
2.411 1.503 11.582
4.404 0.000 4.710
0.566 1.503 5.553
0.951 1.503 0.837
0.601 1.503 14.921
0.884 1.503 10.244
1.294 0.000 7.927
2.927 0.000 6.096
3.291 0.000 1.366
2.940 0.000 15.431
3.280 0.000 10.687
3.665 1.503 3.736
3.327 1.503 17.808
3.650 1.503 13.078
1.338 0.000 3.195
0.990 0.000 17.280
1.357 0.000 12.535
3.706 1.503 8.399
```

=====

Record 7
Computed PXRD pattern of Fe4OF7 for Cu Kα, from a crystal structure in the Materials Project, relaxed with GGA+U.
Peak positions follow from Bragg's law for the DFT cell and can differ from measured ones.

Main lines, sorted by position (2θ from 10° to 90°):
2θ (°)  I_rel
26.38  100
33.19  15
33.31  29
33.46  14
38.29  10
38.53  10
51.00  33
51.23  16
51.35  16
54.31  19
56.57  11
65.19  11

Crystal structure
```
Fe4OF7
1.0
8.039 0.000 0.000
0.000 4.780 0.000
-2.432 0.000 7.730
Fe O F
8 2 14
Cartesian
-0.040 0.000 1.461
0.127 2.357 4.461
0.178 4.604 7.214
2.712 2.312 2.400
2.895 4.702 5.331
5.429 2.213 0.517
5.480 4.747 3.269
5.647 2.390 6.269
-0.698 3.226 6.118
6.305 0.836 1.612
-0.639 3.720 3.109
-1.697 0.922 7.525
0.847 1.357 2.671
1.766 3.814 1.347
1.013 0.842 5.533
2.020 3.260 4.187
3.462 1.324 0.642
2.145 3.714 7.088
3.587 0.869 3.543
4.594 3.232 2.197
3.841 1.424 6.383
4.760 3.747 5.059
7.304 3.312 0.205
6.246 1.330 4.621
```

=====

Record 8
Computed PXRD pattern of Fe5O8F2 for Cu Kα, from a crystal structure in the Materials Project, relaxed with GGA+U.
Peak positions follow from Bragg's law for the DFT cell and can differ from measured ones.

Main lines, sorted by position (2θ from 10° to 90°):
2θ (°)  I_rel
27.07  100
35.50  39
35.57  13
38.66  10
40.60  14
53.47  43
53.58  14
55.83  15
61.64  8
63.12  8
67.91  9
68.50  6

Crystal structure
```
Fe5O8F2
1.0
7.620 0.000 0.000
0.000 4.660 0.000
-4.293 0.000 9.193
Fe O F
10 16 4
Cartesian
0.000 0.000 0.000
-2.146 2.330 4.597
-1.918 0.088 7.235
0.228 2.242 2.639
0.546 0.151 5.564
2.693 2.179 0.968
0.635 2.481 8.225
2.781 4.509 3.629
3.100 2.418 6.554
5.246 4.572 1.958
-2.779 3.224 6.218
-0.633 3.766 1.621
-1.227 0.979 5.639
0.919 1.351 1.043
1.123 0.873 3.880
-1.023 1.456 8.476
1.972 3.127 2.469
-0.174 3.863 7.066
3.502 0.797 2.128
1.356 1.533 6.724
4.351 3.203 0.717
2.204 3.786 5.313
2.408 3.309 8.151
4.555 3.681 3.554
3.960 0.894 7.572
6.107 1.436 2.975
-0.360 3.271 4.353
-2.506 3.719 8.950
5.834 0.941 0.244
3.688 1.389 4.840
```